Starting from a DFT-relaxed cell (PBE, OQMD), the powder diffraction line list of Tb2GdIn3Ni2Au was simulated for CuKα.
Neutral-atom scattering factors, no anomalous dispersion.

Most intense lines, 2θ = 10–90°, by intensity:
35.61 deg, d 2.521, I 100; 32.78 deg, d 2.732, I 94; 41.41 deg, d 2.180, I 40; 36.34 deg, d 2.472, I 36; 66.65 deg, d 1.403, I 34; 45.87 deg, d 1.978, I 25; 43.15 deg, d 2.097, I 24; 63.50 deg, d 1.465, I 22

Structural model:
```
Tb2GdIn3Ni2Au
1.0
3.956 0.000 0.000
0.000 6.541 3.777
0.000 -6.541 3.777
Tb Gd In Ni Au
2 1 3 2 1
Cartesian
0.000 -3.859 3.777
0.000 3.859 3.777
0.000 0.000 2.910
1.978 0.000 0.500
1.978 -1.777 4.985
1.978 1.777 4.985
1.978 -2.185 2.230
1.978 2.185 2.230
0.000 0.000 6.011
```